# TaAsO4
Simulated powder X-ray diffraction pattern, Cu Ka. Input: a DFT-relaxed cell (PBE, the Materials Project).
Intensities are scaled so that the largest is 100.

Cell and atoms:
Cell: 5.127 5.578 5.713 Å, 90.00 100.90 90.00°
Fractional coordinates of all 12 atoms:
Ta: 0.000 0.159 0.000
Ta: 0.000 0.841 0.500
As: 0.453 0.321 0.588
As: 0.453 0.679 0.088
O: 0.234 0.116 0.721
O: 0.234 0.884 0.221
O: 0.250 0.412 0.121
O: 0.250 0.588 0.621
O: 0.715 0.368 0.857
O: 0.715 0.632 0.357
O: 0.842 0.099 0.276
O: 0.842 0.901 0.776

Top 10 peaks for 2θ from 10° to 90°, by angle:
| 2theta | intensity |
| --- | --- |
| 17.62 | 43.8 |
| 22.48 | 46.2 |
| 23.81 | 67.2 |
| 26.74 | 100.0 |
| 30.55 | 86.5 |
| 31.90 | 29.3 |
| 33.50 | 32.2 |
| 35.96 | 42.2 |
| 52.46 | 25.7 |
| 53.84 | 23.6 |

---

# CsO
Simulated powder X-ray diffraction pattern, Cu Ka. Input: a DFT-relaxed cell (PBE, the Materials Project).
Intensities are scaled so that the largest is 100.

Cell and atoms:
Cell: 6.548 6.548 4.450 Å, 90.00 90.00 143.74°
Fractional coordinates of all 4 atoms:
Cs: 0.125 0.875 0.750
Cs: 0.875 0.125 0.250
O: 0.383 0.617 0.750
O: 0.617 0.383 0.250

Top 10 peaks for 2θ from 10° to 90°, by angle:
| 2theta | intensity |
| --- | --- |
| 22.96 | 57.9 |
| 24.59 | 100.0 |
| 28.69 | 58.2 |
| 30.60 | 97.3 |
| 30.75 | 29.9 |
| 36.93 | 59.9 |
| 40.55 | 22.1 |
| 47.42 | 26.1 |
| 50.42 | 22.8 |
| 51.47 | 27.6 |

---

# Ta2Au
Simulated powder X-ray diffraction pattern, Cu Ka. Input: a DFT-relaxed cell (PBE, the Materials Project).
Intensities are scaled so that the largest is 100.

Cell and atoms:
Cell: 10.115 10.115 5.235 Å, 90.00 90.00 90.00°
Fractional coordinates of all 30 atoms:
Ta: 0.035 0.371 0.000
Ta: 0.103 0.103 0.000
Ta: 0.129 0.535 0.500
Ta: 0.183 0.817 0.250
Ta: 0.183 0.817 0.750
Ta: 0.317 0.317 0.250
Ta: 0.317 0.317 0.750
Ta: 0.371 0.035 0.000
Ta: 0.397 0.603 0.500
Ta: 0.465 0.871 0.500
Ta: 0.535 0.129 0.500
Ta: 0.603 0.397 0.500
Ta: 0.629 0.965 0.000
Ta: 0.683 0.683 0.250
Ta: 0.683 0.683 0.750
Ta: 0.817 0.183 0.250
Ta: 0.817 0.183 0.750
Ta: 0.871 0.465 0.500
Ta: 0.897 0.897 0.000
Ta: 0.965 0.629 0.000
Au: 0.000 0.000 0.500
Au: 0.063 0.267 0.500
Au: 0.233 0.563 0.000
Au: 0.267 0.063 0.500
Au: 0.437 0.767 0.000
Au: 0.500 0.500 0.000
Au: 0.563 0.233 0.000
Au: 0.733 0.937 0.500
Au: 0.767 0.437 0.000
Au: 0.937 0.733 0.500

Top 10 peaks for 2θ from 10° to 90°, by angle:
| 2theta | intensity |
| --- | --- |
| 34.26 | 22.0 |
| 36.63 | 84.5 |
| 37.73 | 37.3 |
| 38.73 | 32.5 |
| 39.79 | 61.5 |
| 40.61 | 100.0 |
| 41.62 | 47.6 |
| 64.44 | 18.8 |
| 65.66 | 24.6 |
| 67.40 | 16.4 |

---

# CaYGa3O7
Simulated powder X-ray diffraction pattern, Cu Ka. Input: a DFT-relaxed cell (PBE, the Materials Project).
Intensities are scaled so that the largest is 100.

Cell and atoms:
Cell: 7.925 7.925 5.232 Å, 90.00 90.00 90.49°
Fractional coordinates of all 24 atoms:
Ca: 0.161 0.839 0.000
Ca: 0.839 0.161 0.000
Y: 0.339 0.339 0.969
Y: 0.661 0.661 0.969
Ga: 0.000 0.500 0.486
Ga: 0.147 0.147 0.521
Ga: 0.356 0.644 0.448
Ga: 0.500 0.000 0.486
Ga: 0.644 0.356 0.448
Ga: 0.853 0.853 0.521
O: 0.000 0.000 0.685
O: 0.102 0.346 0.703
O: 0.152 0.152 0.175
O: 0.161 0.588 0.269
O: 0.346 0.102 0.703
O: 0.371 0.629 0.795
O: 0.412 0.839 0.269
O: 0.500 0.500 0.266
O: 0.588 0.161 0.269
O: 0.629 0.371 0.795
O: 0.654 0.898 0.703
O: 0.839 0.412 0.269
O: 0.848 0.848 0.175
O: 0.898 0.654 0.703

Top 10 peaks for 2θ from 10° to 90°, by angle:
| 2theta | intensity |
| --- | --- |
| 23.23 | 32.3 |
| 28.25 | 28.5 |
| 30.39 | 83.7 |
| 30.54 | 100.0 |
| 34.28 | 22.4 |
| 35.74 | 28.4 |
| 35.93 | 26.9 |
| 50.35 | 30.7 |
| 50.50 | 43.7 |
| 59.04 | 25.2 |